(1)
For Li2U2TiS6, a crystal structure in Alexandria, relaxed with GGA-PBE gives the calculated PXRD pattern in this record (Cu Kα X-rays).

The 8 most intense peaks (2θ = 10–90°), by angle:
2θ = 14.21°, d = 6.234 Å, rel. 100, (0 0 1)
2θ = 27.77°, d = 3.212 Å, rel. 60, (2 0 -1)
2θ = 28.66°, d = 3.114 Å, rel. 15, (2 0 0)
2θ = 33.41°, d = 2.682 Å, rel. 53, (1 3 1)
2θ = 33.71°, d = 2.659 Å, rel. 26, (2 0 -2)
2θ = 36.80°, d = 2.442 Å, rel. 18, (1 3 -2)
2θ = 43.61°, d = 2.075 Å, rel. 19, (1 3 2)
2θ = 48.19°, d = 1.888 Å, rel. 36, (1 3 -3)

Unit cell a=6.556 b=11.238 c=6.566 alpha=90.00 beta=108.31 gamma=90.00
Space group C2/m (No. 12)
Symmetry-distinct sites (fractional):
Li: 0.000 0.162 0.000 (multiplicity 4)
U: 0.000 0.336 0.500 (multiplicity 4)
Ti: 0.000 0.000 0.500 (multiplicity 2)
S: 0.229 0.000 0.256 (multiplicity 4)
S: 0.234 0.160 0.741 (multiplicity 8)

(2)
For Y6TlSi2Te3, a crystal structure in Alexandria, relaxed with GGA-PBE gives the calculated PXRD pattern in this record (Cu Kα X-rays).

The 8 most intense peaks (2θ = 10–90°), by angle:
2θ = 29.32°, d = 3.046 Å, rel. 100, (1 1 -2)
2θ = 41.15°, d = 2.193 Å, rel. 12, (2 0 -4)
2θ = 41.59°, d = 2.171 Å, rel. 25, (7 1 -2)
2θ = 42.29°, d = 2.137 Å, rel. 24, (5 1 2)
2θ = 42.76°, d = 2.115 Å, rel. 12, (0 2 0)
2θ = 52.68°, d = 1.737 Å, rel. 13, (6 2 0)
2θ = 60.83°, d = 1.523 Å, rel. 11, (2 2 -4)
2θ = 68.43°, d = 1.371 Å, rel. 10, (8 2 -4)

Unit cell a=18.904 b=4.230 c=8.776 alpha=90.00 beta=104.73 gamma=90.00
Space group C2/m (No. 12)
Symmetry-distinct sites (fractional):
Y: 0.010 0.000 0.257 (multiplicity 4)
Y: 0.169 0.500 0.108 (multiplicity 4)
Y: 0.175 0.500 0.564 (multiplicity 4)
Tl: 0.000 0.500 0.000 (multiplicity 2)
Si: 0.167 0.000 0.334 (multiplicity 4)
Te: 0.000 0.500 0.500 (multiplicity 2)
Te: 0.164 0.000 0.831 (multiplicity 4)

(3)
For Dy4Al3Cd, a crystal structure in Alexandria, relaxed with GGA-PBE gives the calculated PXRD pattern in this record (Cu Kα X-rays).

The 8 most intense peaks (2θ = 10–90°), by angle:
2θ = 24.43°, d = 3.643 Å, rel. 23, (2 0 1)
2θ = 24.54°, d = 3.628 Å, rel. 11, (0 2 0)
2θ = 34.88°, d = 2.572 Å, rel. 100, (4 0 0)
2θ = 43.07°, d = 2.100 Å, rel. 11, (4 2 0)
2θ = 50.07°, d = 1.822 Å, rel. 12, (4 0 2)
2θ = 62.49°, d = 1.486 Å, rel. 24, (6 2 1)
2θ = 62.64°, d = 1.483 Å, rel. 12, (4 4 0)
2θ = 84.03°, d = 1.152 Å, rel. 11, (8 0 2)

Unit cell a=10.304 b=7.256 c=5.152 alpha=90.00 beta=90.00 gamma=90.00
Space group Pmma (No. 51)
Symmetry-distinct sites (fractional):
Dy: 0.000 0.246 0.000 (multiplicity 4)
Dy: 0.250 0.246 0.499 (multiplicity 4)
Al: 0.000 0.000 0.500 (multiplicity 2)
Al: 0.250 0.000 0.998 (multiplicity 2)
Al: 0.250 0.500 0.999 (multiplicity 2)
Cd: 0.000 0.500 0.500 (multiplicity 2)

(4)
For K2CdHF6, a crystal structure in Alexandria, relaxed with GGA-PBE gives the calculated PXRD pattern in this record (Cu Kα X-rays).

The 8 most intense peaks (2θ = 10–90°), by angle:
2θ = 16.19°, d = 5.474 Å, rel. 62, (0 1 1)
2θ = 17.84°, d = 4.971 Å, rel. 33, (0 2 0)
2θ = 19.67°, d = 4.512 Å, rel. 100, (1 1 0)
2θ = 28.61°, d = 3.120 Å, rel. 86, (1 2 1)
2θ = 30.22°, d = 2.958 Å, rel. 42, (0 3 1)
2θ = 33.79°, d = 2.653 Å, rel. 71, (1 1 2)
2θ = 36.14°, d = 2.485 Å, rel. 32, (0 4 0)
2θ = 45.24°, d = 2.004 Å, rel. 50, (2 0 2)

Unit cell a=5.064 b=9.942 c=6.558 alpha=90.00 beta=90.00 gamma=90.00
Space group Pmmn (No. 59, origin choice 2)
Symmetry-distinct sites (fractional):
K: 0.250 0.056 0.214 (multiplicity 4)
Cd: 0.250 0.250 0.726 (multiplicity 2)
H: 0.250 0.750 0.554 (multiplicity 2)
F: 0.024 0.750 0.551 (multiplicity 4)
F: 0.039 0.750 0.019 (multiplicity 4)
F: 0.250 0.036 0.747 (multiplicity 4)

(5)
For TlInHg4Bi, a crystal structure in Alexandria, relaxed with GGA-PBE gives the calculated PXRD pattern in this record (Cu Kα X-rays).

The 8 most intense peaks (2θ = 10–90°), by angle:
2θ = 28.57°, d = 3.124 Å, rel. 54, (2 0 -3)
2θ = 30.40°, d = 2.940 Å, rel. 100, (4 0 1)
2θ = 31.37°, d = 2.851 Å, rel. 34, (2 2 -1)
2θ = 33.12°, d = 2.705 Å, rel. 44, (3 1 -3)
2θ = 34.79°, d = 2.578 Å, rel. 49, (2 2 -2)
2θ = 34.99°, d = 2.565 Å, rel. 50, (0 2 2)
2θ = 37.37°, d = 2.406 Å, rel. 46, (4 2 -1)
2θ = 39.75°, d = 2.268 Å, rel. 36, (2 2 2)

Unit cell a=14.965 b=6.294 c=9.404 alpha=90.00 beta=110.00 gamma=90.00
Space group C2/m (No. 12)
Symmetry-distinct sites (fractional):
Tl: 0.062 0.000 0.294 (multiplicity 4)
In: 0.111 0.500 0.057 (multiplicity 4)
Hg: 0.131 0.000 0.005 (multiplicity 4)
Hg: 0.194 0.245 0.755 (multiplicity 8)
Hg: 0.224 0.500 0.476 (multiplicity 4)
Bi: 0.002 0.500 0.328 (multiplicity 4)

(6)
For KPaCl14, a crystal structure in Alexandria, relaxed with GGA-PBE gives the calculated PXRD pattern in this record (Cu Kα X-rays).

The 8 most intense peaks (2θ = 10–90°), by angle:
2θ = 11.51°, d = 7.689 Å, rel. 100, (0 1 0)
2θ = 14.14°, d = 6.265 Å, rel. 66, (0 1 -1)
2θ = 14.29°, d = 6.200 Å, rel. 46, (1 1 1)
2θ = 14.48°, d = 6.116 Å, rel. 84, (0 1 1)
2θ = 15.75°, d = 5.626 Å, rel. 55, (1 0 -1)
2θ = 15.98°, d = 5.545 Å, rel. 49, (1 1 -1)
2θ = 19.97°, d = 4.447 Å, rel. 52, (1 -1 0)
2θ = 20.92°, d = 4.246 Å, rel. 73, (1 2 0)

Unit cell a=8.252 b=8.542 c=10.560 alpha=87.47 beta=81.20 gamma=64.21
Space group P1 (No. 1)
Symmetry-distinct sites (fractional):
K: 0.000 0.000 0.000 (multiplicity 1)
Pa: 0.499 0.998 0.133 (multiplicity 1)
Cl: 0.109 0.316 0.694 (multiplicity 1)
Cl: 0.114 0.810 0.571 (multiplicity 1)
Cl: 0.199 0.229 0.069 (multiplicity 1)
Cl: 0.248 0.769 0.751 (multiplicity 1)
Cl: 0.355 0.026 0.364 (multiplicity 1)
Cl: 0.396 0.764 0.090 (multiplicity 1)
Cl: 0.407 0.262 0.655 (multiplicity 1)
Cl: 0.602 0.235 0.165 (multiplicity 1)
Cl: 0.609 0.387 0.529 (multiplicity 1)
Cl: 0.660 0.961 0.901 (multiplicity 1)
Cl: 0.809 0.771 0.190 (multiplicity 1)
Cl: 0.839 0.366 0.414 (multiplicity 1)
Cl: 0.855 0.359 0.812 (multiplicity 1)
Cl: 0.940 0.783 0.452 (multiplicity 1)